1.
Ac5PmIr3: theoretical X-ray powder pattern (λ = 1.5418 Å (Cu Kα)), based on a DFT-relaxed cell (GGA-PBE, Alexandria).
Intensities are scaled so that the largest is 100.

Top 10 peaks for 2θ = 10–80°, in order of rising 2θ:
2θ/deg	intensity
17.63	41
18.09	56
26.80	100
27.11	97
34.84	44
35.34	37
35.69	33
40.70	46
43.51	65
43.93	39

Cell and atoms:
a = 6.9855 Å, b = 4.4341 Å, c = 21.2022 Å
α = 90.00°, β = 91.48°, γ = 90.00°
Space group P2/m (No. 10)
Asymmetric unit:
Ac 0.1947 0.0000 0.3973 x2
Ac 0.2306 0.0000 0.0590 x2
Ac 0.2635 0.5000 0.8885 x2
Ac 0.2952 0.5000 0.2311 x2
Ac 0.3034 0.5000 0.5677 x2
Pm 0.2110 0.0000 0.7280 x2
Ir 0.0000 0.5000 0.0000 x1
Ir 0.0122 0.5000 0.6701 x2
Ir 0.4874 0.0000 0.8311 x2
Ir 0.5000 0.0000 0.5000 x1

---

2.
ScBe2Tl: theoretical X-ray powder pattern (λ = 1.5418 Å (Cu Kα)), based on a DFT-relaxed cell (GGA-PBE, Alexandria).
Intensities are scaled so that the largest is 100.

Top 10 peaks for 2θ = 10–80°, in order of rising 2θ:
2θ/deg	intensity
16.99	71
21.76	100
27.62	29
27.74	51
32.60	79
34.38	33
39.54	99
41.05	47
50.20	23
56.12	34

Cell and atoms:
a = 3.2301 Å, b = 4.0846 Å, c = 5.2172 Å
α = 90.00°, β = 90.00°, γ = 90.00°
Space group Pmmm (No. 47)
Asymmetric unit:
Sc 0.0000 0.0000 0.0000 x1
Be 0.5000 0.5000 0.2043 x2
Tl 0.5000 0.0000 0.5000 x1

---

3.
ErTmThZn: theoretical X-ray powder pattern (λ = 1.5418 Å (Cu Kα)), based on a DFT-relaxed cell (GGA-PBE, Alexandria).
Intensities are scaled so that the largest is 100.

Top 10 peaks for 2θ = 10–80°, in order of rising 2θ:
2θ/deg	intensity
27.31	26
31.65	12
32.97	100
35.90	46
42.64	8
48.59	15
51.67	16
56.92	14
60.53	12
62.67	32

Cell and atoms:
a = 3.5381 Å, b = 3.5381 Å, c = 8.4822 Å
α = 90.00°, β = 90.00°, γ = 90.00°
Space group P4mm (No. 99)
Asymmetric unit:
Er 0.0000 0.0000 0.0000 x1
Tm 0.0000 0.0000 0.5810 x1
Th 0.5000 0.5000 0.2914 x1
Zn 0.5000 0.5000 0.7887 x1

---

4.
Ho2Ga7Ag12: theoretical X-ray powder pattern (λ = 1.5418 Å (Cu Kα)), based on a DFT-relaxed cell (GGA-PBE, Alexandria).
Intensities are scaled so that the largest is 100.

Top 10 peaks for 2θ = 10–80°, in order of rising 2θ:
2θ/deg	intensity
22.98	7
36.49	100
38.62	6
40.36	70
42.61	7
55.53	21
57.80	9
70.86	18
72.85	23
73.38	9

Cell and atoms:
a = 11.8253 Å, b = 11.8253 Å, c = 3.1910 Å
α = 90.00°, β = 90.00°, γ = 120.00°
Space group P-3 (No. 147)
Asymmetric unit:
Ho 0.3333 0.6667 0.2480 x2
Ga 0.0000 0.0000 0.5000 x1
Ga 0.1365 0.7126 0.7485 x6
Ag 0.0765 0.2454 0.2467 x6
Ag 0.0773 0.4575 0.7502 x6

---

5.
SrGeF: theoretical X-ray powder pattern (λ = 1.5418 Å (Cu Kα)), based on a DFT-relaxed cell (GGA-PBE, Alexandria).
Intensities are scaled so that the largest is 100.

Top 10 peaks for 2θ = 10–80°, in order of rising 2θ:
2θ/deg	intensity
28.61	100
29.55	24
30.30	33
34.42	46
44.70	60
44.83	30
50.79	13
53.94	18
54.50	25
72.58	15

Cell and atoms:
a = 4.0545 Å, b = 4.0545 Å, c = 27.2037 Å
α = 90.00°, β = 90.00°, γ = 120.00°
Space group R3m (No. 160, hexagonal axes)
Asymmetric unit:
Sr 0.0000 0.0000 0.0000 x3
Sr 0.0000 0.0000 0.2021 x3
Ge 0.0000 0.0000 0.4563 x3
Ge 0.0000 0.0000 0.7513 x3
F 0.0000 0.0000 0.6296 x3
F 0.0000 0.0000 0.9037 x3

---

6.
Tm4TcTe: theoretical X-ray powder pattern (λ = 1.5418 Å (Cu Kα)), based on a DFT-relaxed cell (GGA-PBE, Alexandria).
Intensities are scaled so that the largest is 100.

Top 10 peaks for 2θ = 10–80°, in order of rising 2θ:
2θ/deg	intensity
30.60	100
31.32	64
31.66	28
32.56	29
34.37	75
34.55	62
39.16	32
40.98	45
43.51	43
56.71	30

Cell and atoms:
a = 7.8566 Å, b = 4.1600 Å, c = 19.2559 Å
α = 90.00°, β = 90.00°, γ = 90.00°
Space group Pnma (No. 62)
Asymmetric unit:
Tm 0.0008 0.2500 0.0655 x4
Tm 0.0754 0.7500 0.2066 x4
Tm 0.1115 0.7500 0.6406 x4
Tm 0.1446 0.7500 0.4608 x4
Tc 0.2479 0.7500 0.0604 x4
Te 0.2330 0.7500 0.8022 x4

---

7.
LaTlGa: theoretical X-ray powder pattern (λ = 1.5418 Å (Cu Kα)), based on a DFT-relaxed cell (GGA-PBE, Alexandria).
Intensities are scaled so that the largest is 100.

Top 10 peaks for 2θ = 10–80°, in order of rising 2θ:
2θ/deg	intensity
27.23	33
31.39	100
32.28	73
33.93	59
41.66	24
47.20	16
53.65	35
59.39	25
60.22	18
64.75	13

Cell and atoms:
a = 3.8514 Å, b = 19.9882 Å, c = 4.3364 Å
α = 90.00°, β = 90.00°, γ = 90.00°
Space group Cmcm (No. 63)
Asymmetric unit:
La 0.0000 0.0989 0.2500 x4
Tl 0.0000 0.2899 0.2500 x4
Ga 0.0000 0.4655 0.2500 x4

---

8.
CuHIO4: theoretical X-ray powder pattern (λ = 1.5418 Å (Cu Kα)), based on a DFT-relaxed cell (GGA-PBE, Alexandria).
Intensities are scaled so that the largest is 100.

Top 10 peaks for 2θ = 10–80°, in order of rising 2θ:
2θ/deg	intensity
19.42	33
23.59	100
31.15	36
31.80	18
32.72	26
33.24	13
35.92	11
45.32	13
48.27	26
56.25	10

Cell and atoms:
a = 11.2565 Å, b = 6.6768 Å, c = 5.0003 Å
α = 90.00°, β = 90.00°, γ = 90.00°
Space group Pnma (No. 62)
Asymmetric unit:
Cu 0.0000 0.0000 0.0000 x4
H 0.0192 0.2500 0.3716 x4
I 0.2381 0.7500 0.9476 x4
O 0.0237 0.7500 0.8051 x4
O 0.1200 0.2500 0.6241 x4
O 0.1635 0.5418 0.1379 x8